1.
LiCaRhCl6: simulated powder diffraction line list (Cu Kα (weighted mean of Kα1 and Kα2)), based on a crystal structure in Alexandria, relaxed with GGA-PBE.
Lines closer than 0.1° are merged.

Crystal structure
Unit cell a=6.0913 b=6.0913 c=11.4907 alpha=90.00 beta=90.00 gamma=90.00
Space group P4_2nm (No. 102)
One atom of each set of equivalent atoms:
1 Li 0.0000 0.0000 0.0000 [2 per cell]
2 Ca 0.0000 0.0000 0.3357 [2 per cell]
3 Rh 0.0000 0.0000 0.6724 [2 per cell]
4 Cl 0.1808 0.1808 0.8287 [4 per cell]
5 Cl 0.1921 0.1921 0.5239 [4 per cell]
6 Cl 0.2234 0.2234 0.1658 [4 per cell]

Principal peaks in the range 5 to 70 degrees two-theta, sorted by position:
2θ = 15.42°, intensity 316
2θ = 16.47°, intensity 1000
2θ = 20.62°, intensity 861
2θ = 25.85°, intensity 222
2θ = 27.51°, intensity 193
2θ = 31.25°, intensity 654
2θ = 32.88°, intensity 223
2θ = 33.82°, intensity 181
2θ = 40.64°, intensity 704
2θ = 41.96°, intensity 378
2θ = 47.47°, intensity 154
2θ = 50.90°, intensity 414



2.
CaMgSnCl6: simulated powder diffraction line list (Cu Kα (weighted mean of Kα1 and Kα2)), based on a crystal structure in Alexandria, relaxed with GGA-PBE.
Lines closer than 0.1° are merged.

Crystal structure
Unit cell a=6.8007 b=6.8007 c=12.2916 alpha=90.00 beta=90.00 gamma=120.00
Space group P-31c (No. 163)
One atom of each set of equivalent atoms:
1 Ca 0.3333 0.6667 0.2500 [2 per cell]
2 Mg 0.3333 0.6667 0.7500 [2 per cell]
3 Sn 0.0000 0.0000 0.0000 [2 per cell]
4 Cl 0.0237 0.3640 0.6319 [12 per cell]

Principal peaks in the range 5 to 70 degrees two-theta, sorted by position:
2θ = 15.04°, intensity 197
2θ = 20.89°, intensity 1000
2θ = 30.03°, intensity 621
2θ = 32.88°, intensity 134
2θ = 33.75°, intensity 284
2θ = 39.53°, intensity 660
2θ = 43.23°, intensity 308
2θ = 46.24°, intensity 346
2θ = 46.96°, intensity 111
2θ = 58.46°, intensity 131
2θ = 61.52°, intensity 112
2θ = 62.43°, intensity 167



3.
Ca3Mn5Cl16: simulated powder diffraction line list (Cu Kα (weighted mean of Kα1 and Kα2)), based on a crystal structure in Alexandria, relaxed with GGA-PBE.
Lines closer than 0.1° are merged.

Crystal structure
Unit cell a=13.4267 b=7.7713 c=11.8745 alpha=90.00 beta=91.39 gamma=90.00
Space group Cm (No. 8)
One atom of each set of equivalent atoms:
1 Ca 0.0000 0.0000 0.0000 [2 per cell]
2 Ca 0.0840 0.2526 0.4998 [4 per cell]
3 Mn 0.2529 0.2521 0.9998 [4 per cell]
4 Mn 0.3288 0.5000 0.2657 [2 per cell]
5 Mn 0.3377 0.0000 0.5024 [2 per cell]
6 Mn 0.4981 0.0000 0.7722 [2 per cell]
7 Cl 0.0903 0.2619 0.8855 [4 per cell]
8 Cl 0.1515 0.5000 0.6421 [2 per cell]
9 Cl 0.1819 0.0000 0.1088 [2 per cell]
10 Cl 0.1824 0.0000 0.6147 [2 per cell]
11 Cl 0.1836 0.5000 0.1290 [2 per cell]
12 Cl 0.2602 0.2532 0.3852 [4 per cell]
13 Cl 0.3213 0.5000 0.8842 [2 per cell]
14 Cl 0.3393 0.0000 0.8907 [2 per cell]
15 Cl 0.4015 0.2696 0.1322 [4 per cell]
16 Cl 0.4209 0.2208 0.6363 [4 per cell]
17 Cl 0.4862 0.0000 0.3785 [2 per cell]
18 Cl 0.4948 0.5000 0.3729 [2 per cell]

Principal peaks in the range 5 to 70 degrees two-theta, sorted by position:
2θ = 14.96°, intensity 1000
2θ = 15.06°, intensity 700
2θ = 15.22°, intensity 473
2θ = 30.28°, intensity 410
2θ = 30.39°, intensity 878
2θ = 30.72°, intensity 830
2θ = 30.93°, intensity 383
2θ = 34.80°, intensity 661
2θ = 35.23°, intensity 579
2θ = 46.56°, intensity 407
2θ = 46.76°, intensity 526
2θ = 46.86°, intensity 955



4.
Rb3CaMn2Cl9: simulated powder diffraction line list (Cu Kα (weighted mean of Kα1 and Kα2)), based on a crystal structure in Alexandria, relaxed with GGA-PBE.
Lines closer than 0.1° are merged.

Crystal structure
Unit cell a=7.3417 b=7.3417 c=9.0261 alpha=90.00 beta=90.00 gamma=120.00
Space group P-3m1 (No. 164)
One atom of each set of equivalent atoms:
1 Rb 0.0000 0.0000 0.0000 [1 per cell]
2 Rb 0.3333 0.6667 0.6755 [2 per cell]
3 Ca 0.0000 0.0000 0.5000 [1 per cell]
4 Mn 0.3333 0.6667 0.1607 [2 per cell]
5 Cl 0.0000 0.5000 0.0000 [3 per cell]
6 Cl 0.1724 0.3448 0.3240 [6 per cell]

Principal peaks in the range 5 to 70 degrees two-theta, sorted by position:
2θ = 24.21°, intensity 877
2θ = 29.69°, intensity 171
2θ = 29.80°, intensity 517
2θ = 34.51°, intensity 1000
2θ = 42.51°, intensity 95
2θ = 42.64°, intensity 290
2θ = 49.54°, intensity 321
2θ = 49.67°, intensity 324
2θ = 55.94°, intensity 176
2θ = 58.97°, intensity 183
2θ = 61.89°, intensity 158
2θ = 67.44°, intensity 98



5.
Ca2MnSnCl8: simulated powder diffraction line list (Cu Kα (weighted mean of Kα1 and Kα2)), based on a crystal structure in Alexandria, relaxed with GGA-PBE.
Lines closer than 0.1° are merged.

Crystal structure
Unit cell a=6.2602 b=8.2943 c=6.4803 alpha=90.00 beta=90.35 gamma=90.00
Space group P2/m (No. 10)
One atom of each set of equivalent atoms:
1 Ca 0.0000 0.2396 0.0000 [2 per cell]
2 Mn 0.5000 0.0000 0.5000 [1 per cell]
3 Sn 0.5000 0.5000 0.5000 [1 per cell]
4 Cl 0.2172 0.5000 0.8402 [2 per cell]
5 Cl 0.2334 0.0000 0.8147 [2 per cell]
6 Cl 0.2838 0.2235 0.3330 [4 per cell]

Principal peaks in the range 5 to 70 degrees two-theta, sorted by position:
2θ = 19.66°, intensity 827
2θ = 19.78°, intensity 853
2θ = 25.77°, intensity 450
2θ = 29.31°, intensity 1000
2θ = 31.00°, intensity 341
2θ = 38.00°, intensity 300
2θ = 38.14°, intensity 382
2θ = 38.56°, intensity 482
2θ = 38.69°, intensity 531
2θ = 43.65°, intensity 308
2θ = 47.46°, intensity 506
2θ = 48.33°, intensity 282



6.
Ca8N4Cl: simulated powder diffraction line list (Cu Kα (weighted mean of Kα1 and Kα2)), based on a crystal structure in Alexandria, relaxed with GGA-PBE.
Lines closer than 0.1° are merged.

Crystal structure
Unit cell a=10.6195 b=10.6195 c=10.6195 alpha=90.00 beta=90.00 gamma=90.00
Space group F-43m (No. 216)
One atom of each set of equivalent atoms:
1 Ca 0.1049 0.1049 0.3951 [16 per cell]
2 Ca 0.1410 0.1410 0.8590 [16 per cell]
3 N 0.1249 0.1249 0.6249 [16 per cell]
4 Cl 0.2500 0.2500 0.2500 [4 per cell]

Principal peaks in the range 5 to 70 degrees two-theta, sorted by position:
2θ = 14.45°, intensity 393
2θ = 23.70°, intensity 115
2θ = 27.86°, intensity 106
2θ = 29.13°, intensity 1000
2θ = 33.76°, intensity 774
2θ = 36.89°, intensity 175
2θ = 44.32°, intensity 446
2θ = 48.49°, intensity 616
2θ = 57.57°, intensity 235
2θ = 60.39°, intensity 102
2θ = 62.45°, intensity 161
2θ = 67.78°, intensity 117



7.
Ca5N2Cl5: simulated powder diffraction line list (Cu Kα (weighted mean of Kα1 and Kα2)), based on a crystal structure in Alexandria, relaxed with GGA-PBE.
Lines closer than 0.1° are merged.

Crystal structure
Unit cell a=12.9604 b=3.8828 c=11.0256 alpha=90.00 beta=104.94 gamma=90.00
Space group C2/m (No. 12)
One atom of each set of equivalent atoms:
1 Ca 0.0000 0.0000 0.0000 [2 per cell]
2 Ca 0.1007 0.0000 0.3690 [4 per cell]
3 Ca 0.1374 0.5000 0.8074 [4 per cell]
4 N 0.0359 0.0000 0.8012 [4 per cell]
5 Cl 0.0000 0.5000 0.5000 [2 per cell]
6 Cl 0.1619 0.5000 0.0662 [4 per cell]
7 Cl 0.2424 0.0000 0.6309 [4 per cell]

Principal peaks in the range 5 to 70 degrees two-theta, sorted by position:
2θ = 24.58°, intensity 158
2θ = 31.10°, intensity 1000
2θ = 31.47°, intensity 156
2θ = 32.02°, intensity 167
2θ = 32.98°, intensity 347
2θ = 33.01°, intensity 170
2θ = 36.34°, intensity 344
2θ = 36.87°, intensity 128
2θ = 40.15°, intensity 140
2θ = 45.72°, intensity 153
2θ = 46.79°, intensity 217
2θ = 49.01°, intensity 125



8.
Ca5TcN4Cl2: simulated powder diffraction line list (Cu Kα (weighted mean of Kα1 and Kα2)), based on a crystal structure in Alexandria, relaxed with GGA-PBE.
Lines closer than 0.1° are merged.

Crystal structure
Unit cell a=7.8768 b=8.9952 c=6.1233 alpha=90.00 beta=90.00 gamma=90.00
Space group Amm2 (No. 38)
One atom of each set of equivalent atoms:
1 Ca 0.0000 0.0000 0.0000 [2 per cell]
2 Ca 0.3119 0.1951 0.3781 [8 per cell]
3 Tc 0.5000 0.0000 0.9184 [2 per cell]
4 N 0.2917 0.0000 0.0852 [4 per cell]
5 N 0.5000 0.1512 0.6734 [4 per cell]
6 Cl 0.0000 0.1869 0.6327 [4 per cell]

Principal peaks in the range 5 to 70 degrees two-theta, sorted by position:
2θ = 11.23°, intensity 480
2θ = 17.52°, intensity 413
2θ = 28.72°, intensity 816
2θ = 29.17°, intensity 183
2θ = 30.16°, intensity 290
2θ = 31.35°, intensity 422
2θ = 33.27°, intensity 1000
2θ = 35.22°, intensity 255
2θ = 39.75°, intensity 232
2θ = 42.46°, intensity 697
2θ = 50.06°, intensity 182
2θ = 58.37°, intensity 207



Repeat the sixth record exactly.
Ca8N4Cl: simulated powder diffraction line list (Cu Kα (weighted mean of Kα1 and Kα2)), based on a crystal structure in Alexandria, relaxed with GGA-PBE.
Lines closer than 0.1° are merged.

Crystal structure
Unit cell a=10.6195 b=10.6195 c=10.6195 alpha=90.00 beta=90.00 gamma=90.00
Space group F-43m (No. 216)
One atom of each set of equivalent atoms:
1 Ca 0.1049 0.1049 0.3951 [16 per cell]
2 Ca 0.1410 0.1410 0.8590 [16 per cell]
3 N 0.1249 0.1249 0.6249 [16 per cell]
4 Cl 0.2500 0.2500 0.2500 [4 per cell]

Principal peaks in the range 5 to 70 degrees two-theta, sorted by position:
2θ = 14.45°, intensity 393
2θ = 23.70°, intensity 115
2θ = 27.86°, intensity 106
2θ = 29.13°, intensity 1000
2θ = 33.76°, intensity 774
2θ = 36.89°, intensity 175
2θ = 44.32°, intensity 446
2θ = 48.49°, intensity 616
2θ = 57.57°, intensity 235
2θ = 60.39°, intensity 102
2θ = 62.45°, intensity 161
2θ = 67.78°, intensity 117